# 1
# K2NaAuF6
Simulated powder XRD pattern, CuKα. Input: a crystal structure in the Materials Project, relaxed with GGA-PBE.

Atomic structure:
a b c (Å): 6.2041 6.2041 6.2041
angles (deg): 60.00 60.00 60.00
Fractional positions:
K 0.2500 0.2500 0.2500
K 0.7500 0.7500 0.7500
Na 0.0000 0.0000 0.0000
Au 0.5000 0.5000 0.5000
F 0.2559 0.2559 0.7441
F 0.2559 0.7441 0.2559
F 0.2559 0.7441 0.7441
F 0.7441 0.2559 0.2559
F 0.7441 0.2559 0.7441
F 0.7441 0.7441 0.2559

The 10 most intense peaks (2θ = 10–90°), sorted by position:
2θ/deg	I_rel
17.51	95
20.24	53
28.78	100
33.89	55
41.15	47
45.04	24
46.28	26
50.99	41
54.33	21
59.61	29

=====

# 2
# K2NbAuF6
Simulated powder XRD pattern, CuKα. Input: a crystal structure in the Materials Project, relaxed with GGA-PBE.

Atomic structure:
a b c (Å): 7.1752 7.1752 7.1752
angles (deg): 60.00 60.00 60.00
Fractional positions:
K 0.2500 0.2500 0.2500
K 0.7500 0.7500 0.7500
Nb 0.0000 0.0000 0.0000
Au 0.5000 0.5000 0.5000
F 0.1911 0.1911 0.8089
F 0.1911 0.8089 0.1911
F 0.1911 0.8089 0.8089
F 0.8089 0.1911 0.1911
F 0.8089 0.1911 0.8089
F 0.8089 0.8089 0.1911

The 10 most intense peaks (2θ = 10–90°), sorted by position:
2θ/deg	I_rel
17.48	60
24.82	100
29.19	12
35.38	33
38.68	12
39.72	24
43.70	36
50.91	19
57.44	24
69.30	23

=====

# 3
# K2RbAuF6
Simulated powder XRD pattern, CuKα. Input: a crystal structure in the Materials Project, relaxed with GGA-PBE.

Atomic structure:
a b c (Å): 6.7017 6.7017 6.7017
angles (deg): 60.00 60.00 60.00
Fractional positions:
K 0.2500 0.2500 0.2500
K 0.7500 0.7500 0.7500
Rb 0.0000 0.0000 0.0000
Au 0.5000 0.5000 0.5000
F 0.2733 0.2733 0.7267
F 0.2733 0.7267 0.2733
F 0.2733 0.7267 0.7267
F 0.7267 0.2733 0.2733
F 0.7267 0.2733 0.7267
F 0.7267 0.7267 0.2733

The 10 most intense peaks (2θ = 10–90°), sorted by position:
2θ/deg	I_rel
16.20	31
18.73	62
26.60	100
37.98	41
42.66	30
46.97	41
54.79	25
58.42	15
61.92	20
74.99	22

=====

# 4
# K2RhAuF6
Simulated powder XRD pattern, CuKα. Input: a crystal structure in the Materials Project, relaxed with GGA-PBE.

Atomic structure:
a b c (Å): 6.2399 6.2399 6.2399
angles (deg): 60.00 60.00 60.00
Fractional positions:
K 0.2500 0.2500 0.2500
K 0.7500 0.7500 0.7500
Rh 0.0000 0.0000 0.0000
Au 0.5000 0.5000 0.5000
F 0.2307 0.2307 0.7693
F 0.2307 0.7693 0.2307
F 0.2307 0.7693 0.7693
F 0.7693 0.2307 0.2307
F 0.7693 0.2307 0.7693
F 0.7693 0.7693 0.2307

The 10 most intense peaks (2θ = 10–90°), sorted by position:
2θ/deg	I_rel
20.12	66
28.61	100
33.69	10
40.91	38
45.99	31
50.68	40
59.23	23
63.22	15
67.08	18
81.65	21